Starting from DFT lattice parameters and positions (GGA+U), the powder X-ray diffraction pattern of Ba2Co3F10 was computed for Cu Kα, 1.54184 Å.
No peak broadening, texture or thermal motion is included.

Structural model:
a b c (Å): 18.9373 6.1126 8.0151
angles (deg): 90.00 111.73 90.00
Space group C2/m (No. 12)
Inequivalent atoms, fractional coordinates:
Ba  0.1144  0.0000  0.2201 [4 per cell]
Ba  0.2174  0.0000  0.8155 [4 per cell]
Co  0.0000  0.2453  0.5000 [4 per cell]
Co  0.0746  0.5000  0.9581 [4 per cell]
Co  0.1780  0.5000  0.5184 [4 per cell]
F  0.0000  0.2728  0.0000 [4 per cell]
F  0.0155  0.0000  0.6834 [4 per cell]
F  0.0207  0.5000  0.6834 [4 per cell]
F  0.1121  0.2385  0.5280 [8 per cell]
F  0.1341  0.5000  0.2445 [4 per cell]
F  0.1518  0.2610  0.9794 [8 per cell]
F  0.2370  0.5000  0.7814 [4 per cell]
F  0.2500  0.2500  0.5000 [4 per cell]

Principal peaks in the range 2θ from 5° to 70°, low angle first:
(3 1 1), 26.9°, rel. 100.0
(3 1 -2), 27.4°, rel. 57.1
(6 0 -1), 28.3°, rel. 51.4
(0 2 0), 29.2°, rel. 26.2
(5 1 1), 35.2°, rel. 19.4
(0 2 2), 38.1°, rel. 30.8
(6 2 -1), 41.1°, rel. 54.6
(0 0 4), 48.9°, rel. 22.3
(3 3 1), 50.4°, rel. 17.7
(2 2 3), 51.4°, rel. 18.9